For Nb2ZnFe2Ru5, a cell relaxed with PBE gives the theoretical X-ray powder pattern in this record (Cu Ka).
No peak broadening, texture or thermal motion is included.

Crystal structure
Cell: 8.571 8.571 3.946 Å, 90.00 90.00 90.00°
Atoms (fractional coordinates):
Nb: 0.157 0.343 0.000
Nb: 0.343 0.843 0.000
Nb: 0.657 0.157 0.000
Nb: 0.843 0.657 0.000
Zn: 0.000 0.000 0.000
Zn: 0.500 0.500 0.000
Fe: 0.138 0.638 0.000
Fe: 0.362 0.138 0.000
Fe: 0.638 0.862 0.000
Fe: 0.862 0.362 0.000
Ru: 0.000 0.500 0.500
Ru: 0.076 0.802 0.500
Ru: 0.198 0.076 0.500
Ru: 0.302 0.576 0.500
Ru: 0.424 0.302 0.500
Ru: 0.500 0.000 0.500
Ru: 0.576 0.698 0.500
Ru: 0.698 0.424 0.500
Ru: 0.802 0.924 0.500
Ru: 0.924 0.198 0.500

Principal peaks in the range 2θ from 10° to 90°, sorted by position:
2θ 32.56, rel. 19
2θ 37.42, rel. 10
2θ 40.37, rel. 100
2θ 43.53, rel. 22
2θ 44.49, rel. 19
2θ 44.86, rel. 10
2θ 46.00, rel. 29
2θ 47.44, rel. 14
2θ 65.19, rel. 13
2θ 81.30, rel. 12